For Ag2Cl3, DFT lattice parameters and positions (GGA-PBE) gives the computed PXRD pattern in this record (copper Kα).
Intensities are scaled so that the largest is 100.

The 10 most intense peaks (2θ from 5° to 70°), by angle:
14.22 deg, I = 54
16.09 deg, I = 33
16.22 deg, I = 18
28.06 deg, I = 40
28.39 deg, I = 87
34.72 deg, I = 100
45.09 deg, I = 45
45.79 deg, I = 43
49.54 deg, I = 17
58.11 deg, I = 30

Atomic structure:
Cell lengths 6.625, 6.625, 7.195 Å; angles 106.06, 106.06, 112.87 degrees
Fractional coordinates of all 10 atoms:
Ag1 0.000 0.000 0.000
Ag2 0.164 0.836 0.499
Ag3 0.500 0.500 0.501
Ag4 0.836 0.164 0.499
Cl1 0.087 0.417 0.259
Cl2 0.240 0.240 0.751
Cl3 0.417 0.087 0.259
Cl4 0.584 0.914 0.740
Cl5 0.762 0.762 0.247
Cl6 0.914 0.584 0.740

For Ag5Cl6, DFT lattice parameters and positions (GGA-PBE) gives the computed PXRD pattern in this record (copper Kα).
Intensities are scaled so that the largest is 100.

The 10 most intense peaks (2θ from 5° to 70°), by angle:
15.71 deg, I = 12
27.92 deg, I = 54
31.57 deg, I = 100
33.86 deg, I = 41
45.14 deg, I = 18
45.35 deg, I = 17
46.96 deg, I = 32
46.97 deg, I = 31
57.60 deg, I = 16
57.78 deg, I = 16

Atomic structure:
Cell lengths 6.879, 6.879, 6.634 Å; angles 97.58, 97.58, 122.32 degrees
Fractional coordinates of all 11 atoms:
Ag1 0.000 0.000 0.000
Ag2 0.165 0.835 0.500
Ag3 0.338 0.662 0.000
Ag4 0.662 0.338 0.000
Ag5 0.835 0.165 0.500
Cl1 0.069 0.418 0.249
Cl2 0.243 0.243 0.759
Cl3 0.418 0.069 0.249
Cl4 0.582 0.931 0.751
Cl5 0.757 0.757 0.241
Cl6 0.931 0.582 0.751